The following is a theoretical powder XRD pattern of CsTl12Pt4. It was derived from a crystal structure in Alexandria, relaxed with PBE, using a wavelength of 1.5418 Å.
Intensities are scaled so that the largest is 100.

The 12 most intense peaks (10 to 90 degrees two-theta), low angle first:
Position (°2θ)  Rel. int.
17.5  17
27.9  100
33.1  44
39.8  35
41.9  11
43.8  39
45.7  21
52.7  18
56.0  11
62.2  21
77.8  10
80.5  22

Structure:
```
17
Lattice="-5.0606 5.0606 5.0606 5.0606 -5.0606 5.0606 5.0606 5.0606 -5.0606" Properties=species:S:1:pos:R:3 pbc="T T T"
Cs 0.0000 0.0000 0.0000
Tl 5.0606 -1.6335 3.3336
Tl 3.4271 1.7270 0.0000
Tl 6.6941 1.7270 0.0000
Tl 3.3336 5.0606 -1.6335
Tl 1.7270 0.0000 3.4271
Tl 5.0606 1.6335 3.3336
Tl 0.0000 3.4271 1.7270
Tl 3.3336 5.0606 1.6335
Tl 1.7270 0.0000 6.6941
Tl -1.6335 3.3336 5.0606
Tl 1.6335 3.3336 5.0606
Tl 0.0000 6.6941 1.7270
Pt 2.5303 2.5303 -2.5303
Pt 2.5303 -2.5303 2.5303
Pt -2.5303 2.5303 2.5303
Pt 2.5303 2.5303 2.5303
```

***

The following is a theoretical powder XRD pattern of Cs2Pu2S5. It was derived from a crystal structure in Alexandria, relaxed with PBE, using a wavelength of 1.5418 Å.
Intensities are scaled so that the largest is 100.

The 12 most intense peaks (10 to 90 degrees two-theta), low angle first:
Position (°2θ)  Rel. int.
10.4  100
20.9  51
22.7  45
25.5  95
26.6  32
28.1  40
30.5  47
33.6  47
37.3  39
37.6  59
41.3  26
46.0  42

Structure:
```
18
Lattice="8.5135 -3.8225 0.0000 8.5135 3.8225 0.0000 0.0000 0.0000 7.6495" Properties=species:S:1:pos:R:3 pbc="T T T"
Cs 3.5011 0.0000 0.0000
Cs 5.0124 0.0000 3.8248
Cs 12.0145 0.0000 3.8248
Cs 13.5258 0.0000 0.0000
Pu 8.5135 2.5415 5.1034
Pu 8.5135 1.2809 1.2786
Pu 8.5135 -1.2809 6.3709
Pu 8.5135 -2.5415 2.5462
S 0.0000 0.0000 0.0000
S 6.8115 2.7384 2.7416
S 10.2154 2.7384 2.7416
S 6.8115 1.0841 6.5664
S 10.2154 1.0841 6.5664
S 8.5135 0.0000 3.8248
S 6.8115 -1.0841 1.0832
S 10.2154 -1.0841 1.0832
S 6.8115 -2.7384 4.9079
S 10.2154 -2.7384 4.9079
```

***

The following is a theoretical powder XRD pattern of CsPuS3. It was derived from a crystal structure in Alexandria, relaxed with PBE, using a wavelength of 1.5418 Å.
Intensities are scaled so that the largest is 100.

The 12 most intense peaks (10 to 90 degrees two-theta), low angle first:
Position (°2θ)  Rel. int.
11.9  33
21.0  100
22.3  41
24.0  35
30.8  72
33.0  62
34.8  27
40.5  16
41.7  17
46.7  28
48.7  41
50.6  20

Structure:
```
5
Lattice="3.9889 0.0000 0.0000 0.0000 5.1600 0.0000 0.0000 0.0000 7.4067" Properties=species:S:1:pos:R:3 pbc="T T T"
Cs 0.0000 0.0000 0.0000
Pu 0.0000 2.5800 3.7034
S 0.0000 0.0000 3.7034
S 1.9944 2.5800 1.9838
S 1.9944 2.5800 5.4229
```

***

The following is a theoretical powder XRD pattern of Cs2Pu2Se2S. It was derived from a crystal structure in Alexandria, relaxed with PBE, using a wavelength of 1.5418 Å.
Intensities are scaled so that the largest is 100.

The 12 most intense peaks (10 to 90 degrees two-theta), low angle first:
Position (°2θ)  Rel. int.
19.6  19
25.8  100
29.9  40
31.0  64
33.9  65
45.6  22
45.8  24
46.9  25
48.7  23
55.9  25
58.8  22
62.1  19

Structure:
```
14
Lattice="5.2903 0.0000 0.0000 0.0000 5.2903 0.0000 0.0000 0.0000 18.1342" Properties=species:S:1:pos:R:3 pbc="T T T"
Cs 0.0000 0.0000 3.3830
Cs 0.0000 0.0000 14.7512
Cs 2.6452 2.6452 5.6841
Cs 2.6452 2.6452 12.4500
Pu 0.0000 2.6452 0.0000
Pu 0.0000 2.6452 9.0671
Pu 2.6452 0.0000 0.0000
Pu 2.6452 0.0000 9.0671
Se 0.0000 0.0000 7.2094
Se 0.0000 0.0000 10.9247
Se 2.6452 2.6452 1.8576
Se 2.6452 2.6452 16.2765
S 0.0000 0.0000 0.0000
S 2.6452 2.6452 9.0671
```

***

The following is a theoretical powder XRD pattern of Cs2TmPuS4. It was derived from a crystal structure in Alexandria, relaxed with PBE, using a wavelength of 1.5418 Å.
Intensities are scaled so that the largest is 100.

The 12 most intense peaks (10 to 90 degrees two-theta), low angle first:
Position (°2θ)  Rel. int.
11.0  20
22.1  36
26.0  61
29.1  100
39.1  38
43.9  34
45.4  24
49.7  17
53.6  12
59.6  12
60.3  11
71.7  10

Structure:
```
8
Lattice="7.1474 0.0000 0.0000 0.0000 4.1152 0.0000 -2.3732 0.0000 8.0325" Properties=species:S:1:pos:R:3 pbc="T T T"
Cs 0.0000 0.0000 0.0000
Cs 3.5737 2.0576 0.0000
Tm -1.1866 2.0576 4.0163
Pu 2.3871 0.0000 4.0163
S -0.0411 0.0000 5.4627
S 1.1571 2.0576 2.5786
S 3.6171 2.0576 5.4540
S 4.8153 0.0000 2.5699
```

***

The following is a theoretical powder XRD pattern of CsPuSe. It was derived from a crystal structure in Alexandria, relaxed with PBE, using a wavelength of 1.5418 Å.
Intensities are scaled so that the largest is 100.

The 12 most intense peaks (10 to 90 degrees two-theta), low angle first:
Position (°2θ)  Rel. int.
20.7  69
23.9  31
28.3  32
28.7  59
30.6  100
31.4  85
34.3  26
39.5  70
40.2  46
44.4  33
45.8  27
57.1  24

Structure:
```
6
Lattice="4.5608 0.0000 0.0000 0.0000 4.5639 0.0000 -0.5498 0.0000 12.8648" Properties=species:S:1:pos:R:3 pbc="T T T"
Cs 0.8663 1.1410 2.5617
Cs 3.1448 3.4229 10.3031
Pu 0.8654 3.4229 6.4333
Pu 3.1457 1.1410 6.4315
Se 0.8660 1.1410 8.4396
Se 3.1451 3.4229 4.4252
```